[1]
For Mg4Mn5, a crystal structure in Alexandria, relaxed with PBE gives the simulated X-ray diffraction stick pattern in this record (Cu Kα).

Crystal structure
Cell lengths 6.3676, 6.3676, 6.3676 Å; angles 96.02, 96.02, 142.19 degrees
Atoms (fractional coordinates):
Mg 0.0000 0.3147 0.3147
Mg 0.0000 0.6853 0.6853
Mg 0.3147 0.0000 0.3147
Mg 0.6853 0.0000 0.6853
Mn 0.0000 0.0000 0.0000
Mn 0.3428 0.3428 0.6855
Mn 0.3428 0.6572 0.0000
Mn 0.6572 0.3428 0.0000
Mn 0.6572 0.6572 0.3145

Main lines, in order of rising 2θ (10 to 90 degrees two-theta):
Position (°2θ)	I_rel
14.70	28
23.96	3
31.97	6
38.48	100
43.89	17
45.15	30
49.32	9
64.79	18
65.77	8
77.05	11
78.86	18
82.46	8

***

[2]
For Mg6MnMo, a crystal structure in Alexandria, relaxed with PBE gives the simulated X-ray diffraction stick pattern in this record (Cu Kα).

Crystal structure
Cell lengths 4.7596, 6.2218, 6.2218 Å; angles 57.17, 90.00, 90.00 degrees
Atoms (fractional coordinates):
Mg 0.0000 0.0000 0.0000
Mg 0.0000 0.0136 0.4915
Mg 0.0000 0.4915 0.0136
Mg 0.5000 0.3513 0.8398
Mg 0.5000 0.8398 0.3513
Mg 0.5000 0.8428 0.8428
Mn 0.0000 0.4793 0.4793
Mo 0.5000 0.3632 0.3632

Main lines, in order of rising 2θ (10 to 90 degrees two-theta):
Position (°2θ)	I_rel
16.22	36
16.96	83
34.31	55
34.47	21
37.80	49
37.98	88
39.32	100
51.96	32
59.50	16
69.28	17
72.69	16
75.42	21

***

[3]
For MgMnTcMo, a crystal structure in Alexandria, relaxed with PBE gives the simulated X-ray diffraction stick pattern in this record (Cu Kα).

Crystal structure
Cell lengths 4.3745, 4.3745, 4.3745 Å; angles 60.00, 60.00, 60.00 degrees
Atoms (fractional coordinates):
Mg 0.0000 0.0000 0.0000
Mn 0.2500 0.2500 0.2500
Tc 0.7500 0.7500 0.7500
Mo 0.5000 0.5000 0.5000

Main lines, in order of rising 2θ (10 to 90 degrees two-theta):
Position (°2θ)	I_rel
24.93	24
28.86	2
41.28	100
48.82	11
59.80	16
65.80	5
67.74	1
75.25	32
80.71	4
89.65	10

***

[4]
For Mg5Mn2N5, a crystal structure in Alexandria, relaxed with PBE gives the simulated X-ray diffraction stick pattern in this record (Cu Kα).

Crystal structure
Cell lengths 5.7347, 5.7347, 5.7347 Å; angles 100.93, 100.93, 128.37 degrees
Atoms (fractional coordinates):
Mg 0.0000 0.0000 0.0000
Mg 0.2637 0.2637 0.6186
Mg 0.2637 0.6451 0.0000
Mg 0.6451 0.2637 0.0000
Mg 0.6451 0.6451 0.3814
Mn 0.3819 0.8819 0.5000
Mn 0.8819 0.3819 0.5000
N 0.1278 0.4237 0.2959
N 0.1278 0.8319 0.7041
N 0.4237 0.1278 0.2959
N 0.5895 0.5895 0.0000
N 0.8319 0.1278 0.7041

Main lines, in order of rising 2θ (10 to 90 degrees two-theta):
Position (°2θ)	I_rel
17.18	100
24.38	51
32.77	24
34.75	77
35.96	35
39.01	37
40.11	44
41.27	65
49.97	36
50.88	68
54.10	69
56.36	23

***

[5]
For Mg3Ta3MnN8, a crystal structure in Alexandria, relaxed with PBE gives the simulated X-ray diffraction stick pattern in this record (Cu Kα).

Crystal structure
Cell lengths 6.2053, 6.2053, 6.2053 Å; angles 58.69, 58.69, 58.69 degrees
Atoms (fractional coordinates):
Mg 0.0000 0.5000 0.5000
Mg 0.5000 0.0000 0.5000
Mg 0.5000 0.5000 0.0000
Ta 0.0000 0.0000 0.5000
Ta 0.0000 0.5000 0.0000
Ta 0.5000 0.0000 0.0000
Mn 0.5000 0.5000 0.5000
N 0.2471 0.2471 0.2471
N 0.2506 0.7362 0.7362
N 0.2638 0.2638 0.7494
N 0.2638 0.7494 0.2638
N 0.7362 0.2506 0.7362
N 0.7362 0.7362 0.2506
N 0.7494 0.2638 0.2638
N 0.7529 0.7529 0.7529

Main lines, in order of rising 2θ (10 to 90 degrees two-theta):
Position (°2θ)	I_rel
17.33	100
20.45	16
34.55	51
35.08	20
36.05	55
41.59	69
45.37	22
54.45	16
59.62	23
60.93	21
63.86	19
72.29	16